# HgBr2Cl
Simulated powder diffractogram, a wavelength of 1.5418 Å. Input: the GGA-PBE geometry in Alexandria.
Lines closer than 0.1° are merged.

Atomic structure:
```
data_HgBr2Cl
_symmetry_space_group_name_H-M 'C m m 2'
_symmetry_Int_Tables_number 35
_cell_length_a 3.897
_cell_length_b 8.533
_cell_length_c 8.833
_cell_angle_alpha 90.00
_cell_angle_beta 90.00
_cell_angle_gamma 90.00
loop_
_symmetry_equiv_pos_as_xyz
'x,y,z'
'-x,-y,z'
'-x,y,z'
'x,-y,z'
'x+1/2,y+1/2,z'
'-x+1/2,-y+1/2,z'
'-x+1/2,y+1/2,z'
'x+1/2,-y+1/2,z'
loop_
_atom_site_label
_atom_site_fract_x
_atom_site_fract_y
_atom_site_fract_z
Hg1 0.000 0.000 0.000
Br1 0.000 0.000 0.524
Br2 0.000 0.500 0.782
Cl1 0.000 0.500 0.194
```

The 8 most intense peaks (10 to 90 degrees two-theta), sorted by position:
two_theta	I/Imax
10.01	60.4
20.11	16.3
20.82	83.2
23.15	19.4
25.12	16.8
32.39	100.0
39.80	18.9
44.45	41.2